Record 1
Calculated powder diffractogram of Li6Zn12Cd for Cu Ka, from a DFT-relaxed cell (GGA-PBE, Alexandria).
Kinematic intensities with the Lorentz-polarization factor, no thermal factor.

Crystal structure
```
data_Li6Zn12Cd
_chemical_formula_sum 'Li6 Zn12 Cd1'
_cell_length_a 6.6338
_cell_length_b 6.6338
_cell_length_c 6.6338
_cell_angle_alpha 91.23
_cell_angle_beta 91.23
_cell_angle_gamma 91.23
_space_group_name_H-M_alt 'P 1'
_space_group_IT_number 1
_space_group_name_Hall 'P 1'
loop_
_atom_site_label
_atom_site_fract_x
_atom_site_fract_y
_atom_site_fract_z
_atom_site_occupancy
Li1 0.2250 0.7736 0.6151 1
Li2 0.2264 0.3849 0.7750 1
Li3 0.3849 0.7750 0.2264 1
Li4 0.6151 0.2250 0.7736 1
Li5 0.7736 0.6151 0.2250 1
Li6 0.7750 0.2264 0.3849 1
Zn1 0.0232 0.9386 0.2977 1
Zn2 0.0614 0.7023 0.9768 1
Zn3 0.1174 0.4610 0.3385 1
Zn4 0.2977 0.0232 0.9386 1
Zn5 0.3385 0.1174 0.4610 1
Zn6 0.4610 0.3385 0.1174 1
Zn7 0.5390 0.6615 0.8826 1
Zn8 0.6615 0.8826 0.5390 1
Zn9 0.7023 0.9768 0.0614 1
Zn10 0.8826 0.5390 0.6615 1
Zn11 0.9386 0.2977 0.0232 1
Zn12 0.9768 0.0614 0.7023 1
Cd1 0.5000 0.5000 0.5000 1
```

Principal peaks in the range 10 to 90 degrees two-theta, low angle first:
18.72°, 4.741 Å, I = 35.1; 23.06°, 3.857 Å, I = 21.2; 26.89°, 3.315 Å, I = 48.4; 29.87°, 2.992 Å, I = 100.0; 32.72°, 2.737 Å, I = 14.7; 40.41°, 2.232 Å, I = 66.2; 40.83°, 2.210 Å, I = 72.6; 41.65°, 2.168 Å, I = 69.2; 42.84°, 2.111 Å, I = 61.0; 43.44°, 2.083 Å, I = 64.2; 45.27°, 2.003 Å, I = 20.9; 63.63°, 1.462 Å, I = 15.4

---

Record 2
Calculated powder diffractogram of Li3Zn3Cd2 for Cu Ka, from a DFT-relaxed cell (GGA-PBE, Alexandria).
Kinematic intensities with the Lorentz-polarization factor, no thermal factor.

Crystal structure
```
data_Li3Zn3Cd2
_chemical_formula_sum 'Li6 Zn6 Cd4'
_cell_length_a 3.1747
_cell_length_b 12.2882
_cell_length_c 7.1011
_cell_angle_alpha 90.00
_cell_angle_beta 90.00
_cell_angle_gamma 90.00
_space_group_name_H-M_alt 'P 1'
_space_group_IT_number 1
_space_group_name_Hall 'P 1'
loop_
_atom_site_label
_atom_site_fract_x
_atom_site_fract_y
_atom_site_fract_z
_atom_site_occupancy
Li1 0.0000 0.0000 0.0000 1
Li2 0.0000 0.1874 0.5610 1
Li3 0.0000 0.3126 0.0610 1
Li4 0.0000 0.5000 0.5000 1
Li5 0.0000 0.6874 0.0610 1
Li6 0.0000 0.8126 0.5610 1
Zn1 0.5000 0.0000 0.5924 1
Zn2 0.5000 0.1096 0.2644 1
Zn3 0.5000 0.3904 0.7644 1
Zn4 0.5000 0.5000 0.0924 1
Zn5 0.5000 0.6096 0.7644 1
Zn6 0.5000 0.8904 0.2644 1
Cd1 0.5000 0.1665 0.8737 1
Cd2 0.5000 0.3335 0.3737 1
Cd3 0.5000 0.6665 0.3737 1
Cd4 0.5000 0.8335 0.8737 1
```

Principal peaks in the range 10 to 90 degrees two-theta, low angle first:
25.09°, 3.549 Å, I = 95.4; 28.11°, 3.175 Å, I = 100.0; 29.05°, 3.073 Å, I = 43.6; 38.03°, 2.366 Å, I = 79.6; 38.76°, 2.323 Å, I = 94.5; 40.87°, 2.208 Å, I = 38.3; 44.20°, 2.049 Å, I = 25.6; 48.56°, 1.875 Å, I = 92.2; 53.21°, 1.722 Å, I = 23.0; 70.16°, 1.341 Å, I = 26.8; 72.06°, 1.311 Å, I = 27.8; 77.21°, 1.236 Å, I = 42.9

---

Record 3
Calculated powder diffractogram of Li3ZnCd2 for Cu Ka, from a DFT-relaxed cell (GGA-PBE, Alexandria).
Kinematic intensities with the Lorentz-polarization factor, no thermal factor.

Crystal structure
```
data_Li3ZnCd2
_chemical_formula_sum 'Li6 Zn2 Cd4'
_cell_length_a 9.1794
_cell_length_b 8.4863
_cell_length_c 5.3645
_cell_angle_alpha 79.54
_cell_angle_beta 65.38
_cell_angle_gamma 35.08
_space_group_name_H-M_alt 'P 1'
_space_group_IT_number 1
_space_group_name_Hall 'P 1'
loop_
_atom_site_label
_atom_site_fract_x
_atom_site_fract_y
_atom_site_fract_z
_atom_site_occupancy
Li1 0.1684 0.6652 0.3348 1
Li2 0.1700 0.1700 0.8300 1
Li3 0.3348 0.8316 0.1684 1
Li4 0.6652 0.1684 0.8316 1
Li5 0.8300 0.8300 0.1700 1
Li6 0.8316 0.3348 0.6652 1
Zn1 0.3377 0.3377 0.6623 1
Zn2 0.6623 0.6623 0.3377 1
Cd1 0.2483 0.7517 0.7517 1
Cd2 0.2500 0.2500 0.2500 1
Cd3 0.7500 0.7500 0.7500 1
Cd4 0.7517 0.2483 0.2483 1
```

Principal peaks in the range 10 to 90 degrees two-theta, low angle first:
22.27°, 3.992 Å, I = 46.7; 22.57°, 3.939 Å, I = 100.0; 24.82°, 3.587 Å, I = 20.1; 38.59°, 2.333 Å, I = 53.6; 38.77°, 2.322 Å, I = 98.8; 39.26°, 2.295 Å, I = 65.2; 39.81°, 2.264 Å, I = 31.5; 56.09°, 1.640 Å, I = 14.9; 56.64°, 1.625 Å, I = 33.4; 70.60°, 1.334 Å, I = 17.7; 71.58°, 1.318 Å, I = 15.0; 78.52°, 1.218 Å, I = 15.9

---

Record 4
Calculated powder diffractogram of Li3ZnCd3 for Cu Ka, from a DFT-relaxed cell (GGA-PBE, Alexandria).
Kinematic intensities with the Lorentz-polarization factor, no thermal factor.

Crystal structure
```
data_Li3ZnCd3
_chemical_formula_sum 'Li6 Zn2 Cd6'
_cell_length_a 6.7971
_cell_length_b 6.7971
_cell_length_c 5.9385
_cell_angle_alpha 90.00
_cell_angle_beta 90.00
_cell_angle_gamma 91.75
_space_group_name_H-M_alt 'P 1'
_space_group_IT_number 1
_space_group_name_Hall 'P 1'
loop_
_atom_site_label
_atom_site_fract_x
_atom_site_fract_y
_atom_site_fract_z
_atom_site_occupancy
Li1 0.1734 0.1734 0.5000 1
Li2 0.2255 0.2255 0.0000 1
Li3 0.2304 0.7696 0.0000 1
Li4 0.7696 0.2304 0.0000 1
Li5 0.7745 0.7745 0.0000 1
Li6 0.8266 0.8266 0.5000 1
Zn1 0.2327 0.7673 0.5000 1
Zn2 0.7673 0.2327 0.5000 1
Cd1 0.0000 0.5000 0.2510 1
Cd2 0.0000 0.5000 0.7490 1
Cd3 0.5000 0.0000 0.2510 1
Cd4 0.5000 0.0000 0.7490 1
Cd5 0.5000 0.5000 0.2540 1
Cd6 0.5000 0.5000 0.7460 1
```

Principal peaks in the range 10 to 90 degrees two-theta, low angle first:
13.03°, 6.794 Å, I = 46.8; 18.18°, 4.879 Å, I = 33.8; 26.23°, 3.397 Å, I = 59.9; 30.10°, 2.969 Å, I = 20.4; 32.92°, 2.721 Å, I = 15.4; 35.70°, 2.515 Å, I = 13.1; 36.84°, 2.440 Å, I = 32.0; 38.03°, 2.366 Å, I = 29.1; 40.34°, 2.236 Å, I = 100.0; 53.99°, 1.698 Å, I = 19.6; 68.73°, 1.366 Å, I = 18.0; 70.27°, 1.340 Å, I = 19.3

---

Record 5
Calculated powder diffractogram of Li7Zn2Cd for Cu Ka, from a DFT-relaxed cell (GGA-PBE, Alexandria).
Kinematic intensities with the Lorentz-polarization factor, no thermal factor.

Crystal structure
```
data_Li7Zn2Cd
_chemical_formula_sum 'Li7 Zn2 Cd1'
_cell_length_a 4.4947
_cell_length_b 4.4947
_cell_length_c 9.8052
_cell_angle_alpha 90.00
_cell_angle_beta 90.00
_cell_angle_gamma 120.00
_space_group_name_H-M_alt 'P 1'
_space_group_IT_number 1
_space_group_name_Hall 'P 1'
loop_
_atom_site_label
_atom_site_fract_x
_atom_site_fract_y
_atom_site_fract_z
_atom_site_occupancy
Li1 0.0000 0.0000 0.0000 1
Li2 0.0000 0.0000 0.2477 1
Li3 0.0000 0.0000 0.5018 1
Li4 0.3333 0.6667 0.3445 1
Li5 0.3333 0.6667 0.9872 1
Li6 0.6667 0.3333 0.5422 1
Li7 0.6667 0.3333 0.8320 1
Zn1 0.0000 0.0000 0.7474 1
Zn2 0.3333 0.6667 0.6737 1
Cd1 0.6667 0.3333 0.1561 1
```

Principal peaks in the range 10 to 90 degrees two-theta, low angle first:
18.09°, 4.903 Å, I = 53.9; 24.61°, 3.618 Å, I = 100.0; 29.30°, 3.048 Å, I = 18.2; 35.88°, 2.503 Å, I = 42.4; 40.12°, 2.247 Å, I = 39.2; 43.64°, 2.074 Å, I = 18.5; 44.34°, 2.043 Å, I = 31.8; 47.64°, 1.909 Å, I = 16.3; 52.23°, 1.751 Å, I = 9.6; 54.91°, 1.672 Å, I = 11.9; 63.99°, 1.455 Å, I = 12.8; 70.15°, 1.342 Å, I = 11.0

---

Record 6
Calculated powder diffractogram of Li6Zn2Cd for Cu Ka, from a DFT-relaxed cell (GGA-PBE, Alexandria).
Kinematic intensities with the Lorentz-polarization factor, no thermal factor.

Crystal structure
```
data_Li6Zn2Cd
_chemical_formula_sum 'Li6 Zn2 Cd1'
_cell_length_a 7.9530
_cell_length_b 7.9530
_cell_length_c 2.7144
_cell_angle_alpha 90.89
_cell_angle_beta 90.89
_cell_angle_gamma 60.00
_space_group_name_H-M_alt 'P 1'
_space_group_IT_number 1
_space_group_name_Hall 'P 1'
loop_
_atom_site_label
_atom_site_fract_x
_atom_site_fract_y
_atom_site_fract_z
_atom_site_occupancy
Li1 0.1615 0.4999 0.9591 1
Li2 0.1617 0.8383 0.0000 1
Li3 0.4999 0.1615 0.9591 1
Li4 0.5001 0.8385 0.0409 1
Li5 0.8383 0.1617 0.0000 1
Li6 0.8385 0.5001 0.0409 1
Zn1 0.1665 0.1665 0.4999 1
Zn2 0.8335 0.8335 0.5001 1
Cd1 0.5000 0.5000 0.5000 1
```

Principal peaks in the range 10 to 90 degrees two-theta, low angle first:
12.85°, 6.887 Å, I = 10.9; 22.36°, 3.976 Å, I = 100.0; 33.00°, 2.714 Å, I = 11.0; 39.24°, 2.296 Å, I = 32.6; 39.93°, 2.258 Å, I = 18.5; 40.23°, 2.242 Å, I = 18.1; 40.54°, 2.225 Å, I = 17.7; 45.63°, 1.988 Å, I = 14.8; 56.99°, 1.616 Å, I = 6.3; 57.45°, 1.604 Å, I = 6.1; 57.93°, 1.592 Å, I = 5.9; 61.72°, 1.503 Å, I = 11.4